(1)
# Tm3U2Fe6
Theoretical X-ray diffraction stick pattern, Cu Kα (λ = 1.5418 Å). Input: a GGA-PBE-relaxed structure.

Principal peaks in the range 10° ≤ 2θ ≤ 90°, low angle first:
2θ = 19.6°, I 27.5
2θ = 24.0°, I 22.4
2θ = 27.8°, I 23.2
2θ = 31.2°, I 32.8
2θ = 34.3°, I 100.0
2θ = 39.8°, I 55.0
2θ = 42.3°, I 74.6
2θ = 44.7°, I 42.1
2θ = 57.5°, I 25.5
2θ = 68.7°, I 42.0

Cell and atoms:
abc: 7.853 7.853 7.853
angles: 109.47 109.47 109.47
Positions (direct):
Tm 0.000 0.292 0.292
Tm 0.000 0.708 0.708
Tm 0.292 0.000 0.292
Tm 0.292 0.292 0.000
Tm 0.708 0.000 0.708
Tm 0.708 0.708 0.000
U 0.000 0.000 0.500
U 0.000 0.500 0.000
U 0.500 0.000 0.000
U 0.500 0.500 0.500
Fe 0.000 0.337 0.663
Fe 0.000 0.663 0.337
Fe 0.325 0.663 0.663
Fe 0.337 0.000 0.663
Fe 0.337 0.337 0.675
Fe 0.337 0.663 0.000
Fe 0.337 0.675 0.337
Fe 0.663 0.000 0.337
Fe 0.663 0.325 0.663
Fe 0.663 0.337 0.000
Fe 0.663 0.663 0.325
Fe 0.675 0.337 0.337

***

(2)
# Tm8Zn2Fe
Theoretical X-ray diffraction stick pattern, Cu Kα (λ = 1.5418 Å). Input: a GGA-PBE-relaxed structure.

Principal peaks in the range 10° ≤ 2θ ≤ 90°, low angle first:
2θ = 29.9°, I 25.3
2θ = 30.7°, I 82.8
2θ = 32.1°, I 66.2
2θ = 32.4°, I 52.4
2θ = 33.0°, I 78.2
2θ = 33.1°, I 42.4
2θ = 35.1°, I 100.0
2θ = 35.5°, I 69.9
2θ = 37.4°, I 36.7
2θ = 60.2°, I 24.1

Cell and atoms:
abc: 8.857 8.857 6.632
angles: 108.06 108.06 33.56
Positions (direct):
Tm 0.025 0.025 0.291
Tm 0.198 0.198 0.803
Tm 0.343 0.343 0.538
Tm 0.409 0.409 0.073
Tm 0.591 0.591 0.927
Tm 0.657 0.657 0.462
Tm 0.802 0.802 0.197
Tm 0.975 0.975 0.709
Zn 0.183 0.183 0.213
Zn 0.817 0.817 0.787
Fe 0.500 0.500 0.500

***

(3)
# TmZn11Fe
Theoretical X-ray diffraction stick pattern, Cu Kα (λ = 1.5418 Å). Input: a GGA-PBE-relaxed structure.

Principal peaks in the range 10° ≤ 2θ ≤ 90°, low angle first:
2θ = 28.5°, I 24.1
2θ = 34.7°, I 22.2
2θ = 35.1°, I 32.7
2θ = 35.2°, I 27.6
2θ = 40.4°, I 36.8
2θ = 40.5°, I 46.1
2θ = 40.8°, I 57.2
2θ = 40.9°, I 28.1
2θ = 41.1°, I 100.0
2θ = 45.6°, I 33.5

Cell and atoms:
abc: 6.755 6.755 6.703
angles: 98.38 98.38 134.98
Positions (direct):
Tm 0.000 0.000 0.000
Zn 0.000 0.500 0.000
Zn 0.012 0.669 0.644
Zn 0.278 0.493 0.782
Zn 0.331 0.988 0.356
Zn 0.493 0.278 0.782
Zn 0.500 0.000 0.000
Zn 0.500 0.500 0.500
Zn 0.507 0.722 0.218
Zn 0.669 0.012 0.644
Zn 0.722 0.507 0.218
Zn 0.988 0.331 0.356
Fe 0.000 0.000 0.500

***

(4)
# TmZn8Fe4
Theoretical X-ray diffraction stick pattern, Cu Kα (λ = 1.5418 Å). Input: a GGA-PBE-relaxed structure.

Principal peaks in the range 10° ≤ 2θ ≤ 90°, low angle first:
2θ = 29.1°, I 11.6
2θ = 32.6°, I 8.1
2θ = 35.8°, I 34.9
2θ = 41.6°, I 100.0
2θ = 46.8°, I 23.6
2θ = 56.0°, I 6.3
2θ = 60.3°, I 9.7
2θ = 64.4°, I 5.4
2θ = 68.3°, I 15.7
2θ = 75.9°, I 26.4

Cell and atoms:
abc: 6.635 6.635 6.635
angles: 98.20 98.20 135.62
Positions (direct):
Tm 0.000 0.000 0.000
Zn 0.000 0.337 0.337
Zn 0.000 0.663 0.663
Zn 0.276 0.500 0.776
Zn 0.337 0.000 0.337
Zn 0.500 0.276 0.776
Zn 0.500 0.724 0.224
Zn 0.663 0.000 0.663
Zn 0.724 0.500 0.224
Fe 0.000 0.000 0.500
Fe 0.000 0.500 0.000
Fe 0.500 0.000 0.000
Fe 0.500 0.500 0.500

***

(5)
# YUFe2
Theoretical X-ray diffraction stick pattern, Cu Kα (λ = 1.5418 Å). Input: a GGA-PBE-relaxed structure.

Principal peaks in the range 10° ≤ 2θ ≤ 90°, low angle first:
2θ = 16.6°, I 36.1
2θ = 20.6°, I 36.3
2θ = 29.8°, I 100.0
2θ = 33.3°, I 34.8
2θ = 34.7°, I 47.5
2θ = 37.1°, I 49.0
2θ = 38.0°, I 24.2
2θ = 44.3°, I 22.0
2θ = 51.4°, I 28.9
2θ = 54.2°, I 17.6

Cell and atoms:
abc: 6.457 4.845 9.467
angles: 90.00 90.00 90.00
Positions (direct):
Y 0.143 0.250 0.145
Y 0.357 0.750 0.645
Y 0.643 0.250 0.355
Y 0.857 0.750 0.855
U 0.021 0.250 0.631
U 0.479 0.750 0.131
U 0.521 0.250 0.869
U 0.979 0.750 0.369
Fe 0.118 0.250 0.846
Fe 0.225 0.250 0.460
Fe 0.275 0.750 0.960
Fe 0.382 0.750 0.346
Fe 0.618 0.250 0.654
Fe 0.725 0.250 0.040
Fe 0.775 0.750 0.540
Fe 0.882 0.750 0.154

***

(6)
# ZrU2Fe9
Theoretical X-ray diffraction stick pattern, Cu Kα (λ = 1.5418 Å). Input: a GGA-PBE-relaxed structure.

Principal peaks in the range 10° ≤ 2θ ≤ 90°, low angle first:
2θ = 10.7°, I 56.2
2θ = 25.8°, I 23.0
2θ = 33.2°, I 59.5
2θ = 36.1°, I 24.9
2θ = 37.4°, I 56.0
2θ = 39.0°, I 20.5
2θ = 43.5°, I 100.0
2θ = 43.7°, I 43.3
2θ = 45.7°, I 19.2
2θ = 71.7°, I 22.0

Cell and atoms:
abc: 8.741 8.741 8.741
angles: 31.91 31.91 31.91
Positions (direct):
Zr 0.000 0.000 0.000
U 0.146 0.146 0.146
U 0.854 0.854 0.854
Fe 0.081 0.581 0.581
Fe 0.333 0.333 0.333
Fe 0.419 0.419 0.919
Fe 0.419 0.919 0.419
Fe 0.500 0.500 0.500
Fe 0.581 0.081 0.581
Fe 0.581 0.581 0.081
Fe 0.667 0.667 0.667
Fe 0.919 0.419 0.419

***

(7)
# ZrUFe
Theoretical X-ray diffraction stick pattern, Cu Kα (λ = 1.5418 Å). Input: a GGA-PBE-relaxed structure.

Principal peaks in the range 10° ≤ 2θ ≤ 90°, low angle first:
2θ = 15.9°, I 53.6
2θ = 22.9°, I 60.5
2θ = 27.7°, I 47.3
2θ = 32.6°, I 100.0
2θ = 33.7°, I 77.4
2θ = 34.9°, I 47.9
2θ = 37.4°, I 79.4
2θ = 39.7°, I 65.2
2θ = 46.2°, I 54.7
2θ = 60.2°, I 55.6

Cell and atoms:
abc: 12.212 3.335 5.618
angles: 90.00 96.82 90.00
Positions (direct):
Zr 0.148 0.000 0.347
Zr 0.352 0.500 0.653
Zr 0.648 0.500 0.347
Zr 0.852 0.000 0.653
U 0.073 0.500 0.842
U 0.427 0.000 0.158
U 0.573 0.000 0.842
U 0.927 0.500 0.158
Fe 0.206 0.000 0.841
Fe 0.294 0.500 0.159
Fe 0.706 0.500 0.841
Fe 0.794 0.000 0.159

***

(8)
# V3Fe
Theoretical X-ray diffraction stick pattern, Cu Kα (λ = 1.5418 Å). Input: a GGA-PBE-relaxed structure.

Principal peaks in the range 10° ≤ 2θ ≤ 90°, low angle first:
2θ = 27.2°, I 1.4
2θ = 38.8°, I 42.7
2θ = 43.6°, I 100.0
2θ = 48.0°, I 88.1
2θ = 70.2°, I 5.7
2θ = 73.5°, I 18.1
2θ = 76.8°, I 38.1
2θ = 83.2°, I 13.9

Cell and atoms:
abc: 4.645 4.645 4.645
angles: 90.00 90.00 90.00
Positions (direct):
V 0.000 0.250 0.500
V 0.000 0.750 0.500
V 0.250 0.500 0.000
V 0.500 0.000 0.250
V 0.500 0.000 0.750
V 0.750 0.500 0.000
Fe 0.000 0.000 0.000
Fe 0.500 0.500 0.500

***

Repeat the third record exactly.
# TmZn11Fe
Theoretical X-ray diffraction stick pattern, Cu Kα (λ = 1.5418 Å). Input: a GGA-PBE-relaxed structure.

Principal peaks in the range 10° ≤ 2θ ≤ 90°, low angle first:
2θ = 28.5°, I 24.1
2θ = 34.7°, I 22.2
2θ = 35.1°, I 32.7
2θ = 35.2°, I 27.6
2θ = 40.4°, I 36.8
2θ = 40.5°, I 46.1
2θ = 40.8°, I 57.2
2θ = 40.9°, I 28.1
2θ = 41.1°, I 100.0
2θ = 45.6°, I 33.5

Cell and atoms:
abc: 6.755 6.755 6.703
angles: 98.38 98.38 134.98
Positions (direct):
Tm 0.000 0.000 0.000
Zn 0.000 0.500 0.000
Zn 0.012 0.669 0.644
Zn 0.278 0.493 0.782
Zn 0.331 0.988 0.356
Zn 0.493 0.278 0.782
Zn 0.500 0.000 0.000
Zn 0.500 0.500 0.500
Zn 0.507 0.722 0.218
Zn 0.669 0.012 0.644
Zn 0.722 0.507 0.218
Zn 0.988 0.331 0.356
Fe 0.000 0.000 0.500